(1)
This entry pairs a crystal structure of Hf5Sn2Sb2 with its calculated powder XRD pattern. Radiation: Cu Kα, 1.54184 Å. Structure: a GGA-PBE-relaxed structure.

Main lines, sorted by position (10 to 80 degrees two-theta):
| Position (°2θ) | I (rel.) |
| --- | --- |
| 26.16 | 32 |
| 32.42 | 100 |
| 33.35 | 36 |
| 34.42 | 24 |
| 34.54 | 30 |
| 35.62 | 36 |
| 36.47 | 99 |
| 37.85 | 91 |
| 38.08 | 70 |
| 41.34 | 24 |

Structure:
abc: 8.0909 8.0909 7.5724
angles: 90.00 90.00 56.24
Atoms (fractional coordinates):
Hf 0.0000 0.0000 0.0000
Hf 0.0194 0.7102 0.6616
Hf 0.2102 0.5194 0.1616
Hf 0.2898 0.9806 0.6616
Hf 0.4806 0.7898 0.1616
Hf 0.5000 0.5000 0.5000
Hf 0.5194 0.2102 0.8384
Hf 0.7102 0.0194 0.3384
Hf 0.7898 0.4806 0.8384
Hf 0.9806 0.2898 0.3384
Sn 0.2025 0.2025 0.0000
Sn 0.2975 0.2975 0.5000
Sn 0.7025 0.7025 0.5000
Sn 0.7975 0.7975 0.0000
Sb 0.1423 0.8577 0.3603
Sb 0.3577 0.6423 0.8603
Sb 0.6423 0.3577 0.1397
Sb 0.8577 0.1423 0.6397

***

(2)
This entry pairs a crystal structure of Hf8Sn2Sb with its calculated powder XRD pattern. Radiation: Cu Kα, 1.54184 Å. Structure: a GGA-PBE-relaxed structure.

Main lines, sorted by position (10 to 80 degrees two-theta):
| Position (°2θ) | I (rel.) |
| --- | --- |
| 35.02 | 100 |
| 38.23 | 19 |
| 41.04 | 17 |
| 42.59 | 14 |
| 57.34 | 12 |
| 60.63 | 10 |
| 66.96 | 7 |
| 67.13 | 7 |
| 70.89 | 13 |
| 72.98 | 6 |

Structure:
abc: 8.2051 8.2051 7.3822
angles: 108.88 108.88 31.09
Atoms (fractional coordinates):
Hf 0.0457 0.0457 0.2426
Hf 0.1421 0.1421 0.6973
Hf 0.3188 0.3188 0.5821
Hf 0.4115 0.4115 0.0495
Hf 0.5885 0.5885 0.9505
Hf 0.6812 0.6812 0.4179
Hf 0.8579 0.8579 0.3027
Hf 0.9543 0.9543 0.7574
Sn 0.2198 0.2198 0.1504
Sn 0.7802 0.7802 0.8496
Sb 0.5000 0.5000 0.5000

***

(3)
This entry pairs a crystal structure of Hf6Sn3Sb with its calculated powder XRD pattern. Radiation: Cu Kα, 1.54184 Å. Structure: a GGA-PBE-relaxed structure.

Main lines, sorted by position (10 to 80 degrees two-theta):
| Position (°2θ) | I (rel.) |
| --- | --- |
| 26.09 | 14 |
| 26.93 | 12 |
| 33.59 | 15 |
| 33.70 | 12 |
| 34.14 | 100 |
| 34.31 | 29 |
| 35.79 | 31 |
| 38.25 | 33 |
| 38.50 | 23 |
| 42.19 | 15 |

Structure:
abc: 7.3891 7.4475 11.2858
angles: 90.00 130.61 90.00
Atoms (fractional coordinates):
Hf 0.0443 0.1103 0.2516
Hf 0.0443 0.3897 0.7516
Hf 0.2031 0.1528 0.0532
Hf 0.2031 0.3472 0.5532
Hf 0.4124 0.6495 0.0523
Hf 0.4124 0.8505 0.5523
Hf 0.5876 0.1495 0.4477
Hf 0.5876 0.3505 0.9477
Hf 0.7969 0.6528 0.4468
Hf 0.7969 0.8472 0.9468
Hf 0.9557 0.6103 0.2484
Hf 0.9557 0.8897 0.7484
Sn 0.0000 0.0000 0.5000
Sn 0.0000 0.5000 0.0000
Sn 0.3129 0.6717 0.7437
Sn 0.3129 0.8283 0.2437
Sn 0.6871 0.1717 0.7563
Sn 0.6871 0.3283 0.2563
Sb 0.5000 0.0000 0.0000
Sb 0.5000 0.5000 0.5000

***

(4)
This entry pairs a crystal structure of Hf8Sn3Sb2 with its calculated powder XRD pattern. Radiation: Cu Kα, 1.54184 Å. Structure: a GGA-PBE-relaxed structure.

Main lines, sorted by position (10 to 80 degrees two-theta):
| Position (°2θ) | I (rel.) |
| --- | --- |
| 25.83 | 22 |
| 31.94 | 46 |
| 35.37 | 100 |
| 35.74 | 53 |
| 36.72 | 28 |
| 37.04 | 58 |
| 37.27 | 22 |
| 40.60 | 23 |
| 41.02 | 33 |
| 67.94 | 31 |

Structure:
abc: 7.9567 7.9567 5.7990
angles: 101.27 101.27 60.80
Atoms (fractional coordinates):
Hf 0.0667 0.6934 0.3372
Hf 0.1040 0.1040 0.1362
Hf 0.3066 0.9333 0.6628
Hf 0.3080 0.3080 0.0075
Hf 0.6920 0.6920 0.9925
Hf 0.6934 0.0667 0.3372
Hf 0.8960 0.8960 0.8638
Hf 0.9333 0.3066 0.6628
Sn 0.3102 0.6898 0.0000
Sn 0.5000 0.5000 0.5000
Sn 0.6898 0.3102 0.0000
Sb 0.2794 0.2794 0.4983
Sb 0.7206 0.7206 0.5017

***

(5)
This entry pairs a crystal structure of Hf8Sb2Te3 with its calculated powder XRD pattern. Radiation: Cu Kα, 1.54184 Å. Structure: a GGA-PBE-relaxed structure.

Main lines, sorted by position (10 to 80 degrees two-theta):
| Position (°2θ) | I (rel.) |
| --- | --- |
| 28.98 | 71 |
| 34.15 | 100 |
| 36.22 | 76 |
| 36.57 | 68 |
| 37.01 | 68 |
| 37.32 | 34 |
| 39.00 | 29 |
| 39.72 | 35 |
| 44.75 | 23 |
| 62.99 | 22 |

Structure:
abc: 7.6686 7.6686 6.0650
angles: 95.16 95.16 64.81
Atoms (fractional coordinates):
Hf 0.0582 0.6902 0.1204
Hf 0.0967 0.0967 0.3948
Hf 0.3098 0.9418 0.8796
Hf 0.3105 0.3105 0.6747
Hf 0.6895 0.6895 0.3253
Hf 0.6902 0.0582 0.1204
Hf 0.9033 0.9033 0.6052
Hf 0.9418 0.3098 0.8796
Sb 0.2747 0.2747 0.1729
Sb 0.7253 0.7253 0.8271
Te 0.3020 0.6980 0.5000
Te 0.5000 0.5000 0.0000
Te 0.6980 0.3020 0.5000

***

(6)
This entry pairs a crystal structure of Hf4Sb3Te with its calculated powder XRD pattern. Radiation: Cu Kα, 1.54184 Å. Structure: a GGA-PBE-relaxed structure.

Main lines, sorted by position (10 to 80 degrees two-theta):
| Position (°2θ) | I (rel.) |
| --- | --- |
| 13.38 | 14 |
| 26.96 | 12 |
| 33.33 | 76 |
| 35.99 | 100 |
| 43.37 | 12 |
| 47.67 | 9 |
| 47.85 | 27 |
| 61.09 | 11 |
| 61.30 | 40 |
| 79.77 | 12 |

Structure:
abc: 5.3759 10.7548 6.6169
angles: 90.00 90.00 90.00
Atoms (fractional coordinates):
Hf 0.2500 0.0007 0.1406
Hf 0.2500 0.2500 0.8574
Hf 0.2500 0.4993 0.1406
Hf 0.2500 0.7500 0.8587
Hf 0.7500 0.2500 0.1413
Hf 0.7500 0.5007 0.8594
Hf 0.7500 0.7500 0.1426
Hf 0.7500 0.9993 0.8594
Sb 0.2500 0.9996 0.6828
Sb 0.2500 0.2500 0.3152
Sb 0.2500 0.5004 0.6828
Sb 0.7500 0.0004 0.3172
Sb 0.7500 0.4996 0.3172
Sb 0.7500 0.7500 0.6848
Te 0.2500 0.7500 0.3114
Te 0.7500 0.2500 0.6886

***

(7)
This entry pairs a crystal structure of HfTi4Sb with its calculated powder XRD pattern. Radiation: Cu Kα, 1.54184 Å. Structure: a GGA-PBE-relaxed structure.

Main lines, sorted by position (10 to 80 degrees two-theta):
| Position (°2θ) | I (rel.) |
| --- | --- |
| 19.68 | 40 |
| 26.41 | 37 |
| 27.76 | 38 |
| 35.93 | 100 |
| 38.85 | 83 |
| 39.82 | 79 |
| 41.29 | 23 |
| 65.84 | 30 |
| 67.87 | 26 |
| 73.51 | 23 |

Structure:
abc: 9.7274 9.6540 5.0072
angles: 75.84 74.22 29.94
Atoms (fractional coordinates):
Hf 0.2189 0.7811 0.2189
Hf 0.7811 0.2189 0.7811
Ti 0.0752 0.5892 0.4108
Ti 0.1980 0.6306 0.8020
Ti 0.3694 0.8020 0.6306
Ti 0.4108 0.9248 0.0752
Ti 0.5892 0.0752 0.9248
Ti 0.6306 0.1980 0.3694
Ti 0.8020 0.3694 0.1980
Ti 0.9248 0.4108 0.5892
Sb 0.0000 0.5000 0.0000
Sb 0.5000 0.0000 0.5000

***

(8)
This entry pairs a crystal structure of Hf4TiSb2 with its calculated powder XRD pattern. Radiation: Cu Kα, 1.54184 Å. Structure: a GGA-PBE-relaxed structure.

Main lines, sorted by position (10 to 80 degrees two-theta):
| Position (°2θ) | I (rel.) |
| --- | --- |
| 13.26 | 25 |
| 33.64 | 92 |
| 34.29 | 97 |
| 34.68 | 100 |
| 37.49 | 70 |
| 39.28 | 61 |
| 40.03 | 69 |
| 45.90 | 33 |
| 51.57 | 25 |
| 60.20 | 27 |

Structure:
abc: 7.3796 5.8614 7.7859
angles: 90.00 115.25 90.00
Atoms (fractional coordinates):
Hf 0.0152 0.2500 0.4966
Hf 0.1664 0.9999 0.2266
Hf 0.1664 0.5001 0.2266
Hf 0.3033 0.2500 0.9277
Hf 0.6967 0.7500 0.0723
Hf 0.8336 0.0001 0.7734
Hf 0.8336 0.4999 0.7734
Hf 0.9848 0.7500 0.5034
Ti 0.4102 0.7500 0.6661
Ti 0.5898 0.2500 0.3339
Sb 0.2301 0.7500 0.9158
Sb 0.4347 0.2500 0.6087
Sb 0.5653 0.7500 0.3913
Sb 0.7699 0.2500 0.0842

***

(9)
This entry pairs a crystal structure of Hf2TiSb with its calculated powder XRD pattern. Radiation: Cu Kα, 1.54184 Å. Structure: a GGA-PBE-relaxed structure.

Main lines, sorted by position (10 to 80 degrees two-theta):
| Position (°2θ) | I (rel.) |
| --- | --- |
| 16.13 | 27 |
| 24.02 | 25 |
| 33.41 | 100 |
| 33.82 | 74 |
| 34.62 | 32 |
| 36.56 | 61 |
| 37.31 | 92 |
| 39.49 | 40 |
| 41.23 | 40 |
| 41.91 | 40 |

Structure:
abc: 8.2681 8.2681 8.2681
angles: 96.68 96.68 140.12
Atoms (fractional coordinates):
Hf 0.0581 0.5299 0.6907
Hf 0.1237 0.2389 0.8208
Hf 0.4180 0.3029 0.1792
Hf 0.4701 0.1607 0.5282
Hf 0.6325 0.9419 0.4718
Hf 0.6971 0.8763 0.1152
Hf 0.7611 0.5820 0.8848
Hf 0.8393 0.3675 0.3093
Ti 0.1660 0.2705 0.4638
Ti 0.2978 0.8340 0.1044
Ti 0.7295 0.1934 0.8956
Ti 0.8066 0.7022 0.5362
Sb 0.1849 0.4384 0.1701
Sb 0.2683 0.0148 0.8299
Sb 0.5616 0.7317 0.7465
Sb 0.9852 0.8151 0.2535

***

- Number 7 is which compound?
  HfTi4Sb